(1)
Starting from DFT lattice parameters and positions (PBE), the powder diffraction line list of La3Ga5SnO14 was simulated for Cu Kα (weighted mean of Kα1 and Kα2).

Cell and atoms:
Cell: 8.3538 8.3538 5.2188 Å, 90.00 90.00 120.00°
Sites, in units of the cell vectors:
La 0.0000 0.4275 0.0000
La 0.4275 0.0000 0.0000
La 0.5725 0.5725 0.0000
Ga 0.0000 0.7549 0.5000
Ga 0.2451 0.2451 0.5000
Ga 0.3333 0.6667 0.4697
Ga 0.6667 0.3333 0.5303
Ga 0.7549 0.0000 0.5000
Sn 0.0000 0.0000 0.0000
O 0.0822 0.2279 0.7581
O 0.1444 0.6843 0.3024
O 0.1457 0.9178 0.7581
O 0.2279 0.0822 0.2419
O 0.3157 0.4601 0.3024
O 0.3333 0.6667 0.8191
O 0.4601 0.3157 0.6976
O 0.5399 0.8556 0.3024
O 0.6667 0.3333 0.1809
O 0.6843 0.1444 0.6976
O 0.7721 0.8543 0.7581
O 0.8543 0.7721 0.2419
O 0.8556 0.5399 0.6976
O 0.9178 0.1457 0.2419

The 10 most intense peaks (5° ≤ 2θ ≤ 70°), by angle:
| 2θ (°) | intensity |
| --- | --- |
| 27.35 | 64 |
| 30.06 | 100 |
| 32.75 | 22 |
| 34.37 | 17 |
| 37.12 | 16 |
| 45.19 | 15 |
| 48.21 | 26 |
| 48.61 | 18 |
| 58.34 | 20 |
| 58.91 | 15 |

(2)
Starting from DFT lattice parameters and positions (PBE), the powder diffraction line list of SrLaGaO4 was simulated for Cu Kα (weighted mean of Kα1 and Kα2).

Cell and atoms:
Cell: 6.8726 6.8726 6.8726 Å, 147.03 147.03 47.31°
Sites, in units of the cell vectors:
Sr 0.0000 0.0000 0.0000
La 0.7162 0.7162 0.0000
Ga 0.3628 0.3628 0.0000
O 0.1933 0.1933 0.0000
O 0.3531 0.8531 0.5000
O 0.5291 0.5291 0.0000
O 0.8531 0.3531 0.5000

The 10 most intense peaks (5° ≤ 2θ ≤ 70°), by angle:
| 2θ (°) | intensity |
| --- | --- |
| 23.89 | 14 |
| 31.31 | 100 |
| 32.47 | 70 |
| 42.75 | 16 |
| 43.11 | 13 |
| 43.64 | 22 |
| 46.58 | 36 |
| 54.99 | 16 |
| 57.20 | 37 |
| 65.33 | 14 |